This entry pairs a crystal structure of HgW2 with its computed X-ray powder pattern. Radiation: copper Kα. Structure: a crystal structure in Alexandria, relaxed with PBE.
Peak positions follow from Bragg's law for the DFT cell and can differ from measured ones.

Top 8 peaks for 2θ = 15–90°, by intensity:
two_theta, Rel. int., hkl
40.59, 100, 1 0 3
36.40, 29, 0 0 6
36.08, 23, 1 0 0
68.33, 21, 1 0 9
76.74, 21, 1 1 6
64.88, 17, 1 1 0
52.19, 16, 1 0 6
79.41, 15, 2 0 3

Cell and atoms:
abc: 2.874 2.874 14.810
angles: 90.00 90.00 120.00
Element x y z (fractional)
Hg  0.000  0.000  0.169
Hg  0.000  0.000  0.831
W  0.000  0.000  0.500
W  0.667  0.333  0.000
W  0.667  0.333  0.340
W  0.667  0.333  0.660